1.
For Ca4As3, a crystal structure in the Materials Project, relaxed with PBE gives the calculated X-ray diffraction stick pattern in this record (copper Kα).

Crystal structure
abc: 11.585 12.161 10.436
angles: 90.00 90.00 90.00
Space group Pbam (No. 55)
Inequivalent atoms, fractional coordinates:
Ca (0.000, 0.000, 0.184) (multiplicity 4)
Ca (0.094, 0.265, 0.274) (multiplicity 8)
Ca (0.101, 0.707, 0.000) (multiplicity 4)
Ca (0.125, 0.865, 0.500) (multiplicity 4)
Ca (0.176, 0.567, 0.324) (multiplicity 8)
Ca (0.226, 0.424, 0.000) (multiplicity 4)
As (0.000, 0.500, 0.123) (multiplicity 4)
As (0.039, 0.402, 0.500) (multiplicity 4)
As (0.135, 0.114, 0.500) (multiplicity 4)
As (0.140, 0.143, 0.000) (multiplicity 4)
As (0.163, 0.824, 0.233) (multiplicity 8)

Principal peaks in the range 2θ = 10–80°, in order of rising 2θ:
- 2θ 24.13, I = 65
- 2θ 31.97, I = 100
- 2θ 33.47, I = 40
- 2θ 34.13, I = 39
- 2θ 34.34, I = 88
- 2θ 35.03, I = 58

***

2.
For Si2N2O, a crystal structure in the Materials Project, relaxed with PBE gives the calculated X-ray diffraction stick pattern in this record (copper Kα).

Crystal structure
abc: 8.965 5.546 4.895
angles: 90.00 90.00 90.00
Space group Cmc2_1 (No. 36)
Inequivalent atoms, fractional coordinates:
Si (0.177, 0.150, 0.000) (multiplicity 8)
N (0.220, 0.123, 0.656) (multiplicity 8)
O (0.000, 0.209, 0.050) (multiplicity 4)

Principal peaks in the range 2θ = 10–80°, in order of rising 2θ:
- 2θ 18.82, I = 55
- 2θ 19.81, I = 91
- 2θ 26.24, I = 100
- 2θ 34.08, I = 31
- 2θ 36.72, I = 39
- 2θ 37.27, I = 40

***

3.
For ZnN2F4, a crystal structure in the Materials Project, relaxed with PBE gives the calculated X-ray diffraction stick pattern in this record (copper Kα).

Crystal structure
abc: 3.942 3.942 13.956
angles: 90.00 90.00 90.00
Space group I4/mmm (No. 139)
Inequivalent atoms, fractional coordinates:
Zn (0.000, 0.000, 0.000) (multiplicity 2)
N (0.000, 0.000, 0.327) (multiplicity 4)
F (0.000, 0.000, 0.230) (multiplicity 4)
F (0.000, 0.500, 0.000) (multiplicity 4)

Principal peaks in the range 2θ = 10–80°, in order of rising 2θ:
- 2θ 12.69, I = 76
- 2θ 23.45, I = 98
- 2θ 25.53, I = 98
- 2θ 29.70, I = 100
- 2θ 32.11, I = 56
- 2θ 46.05, I = 58